1.
For TeRh, a cell relaxed with PBE gives the calculated PXRD pattern in this record (Cu Kα).
Peak positions follow from Bragg's law for the DFT cell and can differ from measured ones.

a = 4.0649 Å, b = 4.0649 Å, c = 5.7134 Å
α = 90.00°, β = 90.00°, γ = 120.00°
Space group P6_3/mmc (No. 194)
Unique sites:
Te  0.3333  0.6667  0.2500
Rh  0.0000  0.0000  0.0000

Most intense lines, 2θ from 10° to 90°, by intensity:
- 2θ 40.67, I = 100
- 2θ 29.81, I = 96
- 2θ 44.58, I = 72
- 2θ 61.92, I = 28
- 2θ 79.46, I = 27
- 2θ 82.55, I = 23
- 2θ 54.55, I = 17
- 2θ 54.81, I = 17



2.
For DySe, a cell relaxed with PBE gives the calculated PXRD pattern in this record (Cu Kα).
Peak positions follow from Bragg's law for the DFT cell and can differ from measured ones.

a = 4.1461 Å, b = 4.1461 Å, c = 8.4981 Å
α = 90.00°, β = 90.00°, γ = 120.00°
Space group P6_3mc (No. 186)
Unique sites:
Dy  0.3333  0.6667  0.0000
Se  0.3333  0.6667  0.3259

Most intense lines, 2θ from 10° to 90°, by intensity:
- 2θ 26.96, I = 100
- 2θ 40.56, I = 95
- 2θ 24.80, I = 59
- 2θ 43.66, I = 52
- 2θ 20.91, I = 35
- 2θ 61.11, I = 28
- 2θ 78.08, I = 28
- 2θ 48.88, I = 22